No. 1
Simulated X-ray powder pattern of Al12Co4Cu for CuKα, from a PBE-relaxed structure.
Intensities are scaled so that the largest is 100.

Peak list (10 most intense, 2θ = 10–90°, most intense first)
| 2theta | Rel. int. |
| --- | --- |
| 43.79 | 100 |
| 45.20 | 94 |
| 44.70 | 65 |
| 44.98 | 52 |
| 25.40 | 31 |
| 22.18 | 25 |
| 24.61 | 20 |
| 26.91 | 19 |
| 15.67 | 18 |
| 27.60 | 18 |

Crystal structure
Cell: 8.600 8.600 12.363 Å, 106.04 106.04 55.59°
Sites, in units of the cell vectors:
Al 0.000 0.000 0.000
Al 0.002 0.002 0.428
Al 0.078 0.659 0.481
Al 0.090 0.646 0.850
Al 0.162 0.162 0.373
Al 0.182 0.182 0.785
Al 0.201 0.633 0.297
Al 0.208 0.638 0.075
Al 0.267 0.839 0.846
Al 0.276 0.843 0.624
Al 0.295 0.295 0.136
Al 0.313 0.313 0.548
Al 0.387 0.833 0.072
Al 0.400 0.815 0.440
Al 0.474 0.474 0.494
Al 0.478 0.478 0.924
Al 0.489 0.987 0.960
Al 0.497 0.961 0.288
Al 0.514 0.980 0.634
Al 0.538 0.538 0.730
Al 0.567 0.567 0.238
Al 0.633 0.201 0.297
Al 0.638 0.208 0.075
Al 0.646 0.090 0.850
Al 0.659 0.078 0.481
Al 0.718 0.718 0.792
Al 0.759 0.759 0.129
Al 0.815 0.400 0.440
Al 0.833 0.387 0.072
Al 0.839 0.267 0.846
Al 0.843 0.276 0.624
Al 0.907 0.907 0.680
Al 0.939 0.939 0.192
Al 0.961 0.497 0.288
Al 0.980 0.514 0.634
Al 0.987 0.489 0.960
Co 0.146 0.146 0.965
Co 0.152 0.152 0.571
Co 0.201 0.640 0.680
Co 0.276 0.836 0.241
Co 0.325 0.325 0.350
Co 0.331 0.331 0.957
Co 0.635 0.635 0.591
Co 0.638 0.638 0.944
Co 0.640 0.201 0.680
Co 0.836 0.276 0.241
Co 0.839 0.839 0.978
Co 0.842 0.842 0.330
Cu 0.148 0.148 0.174
Cu 0.329 0.329 0.749
Cu 0.739 0.739 0.462



No. 2
Simulated X-ray powder pattern of HoAsPO for CuKα, from a PBE-relaxed structure.
Intensities are scaled so that the largest is 100.

Peak list (10 most intense, 2θ = 10–90°, most intense first)
| 2theta | Rel. int. |
| --- | --- |
| 26.61 | 100 |
| 22.28 | 45 |
| 19.46 | 32 |
| 28.93 | 27 |
| 30.10 | 25 |
| 36.40 | 25 |
| 44.10 | 22 |
| 53.61 | 21 |
| 35.27 | 16 |
| 49.87 | 16 |

Crystal structure
Cell: 4.936 6.774 6.172 Å, 90.00 90.00 90.00°
Sites, in units of the cell vectors:
Ho 0.000 0.174 0.000
Ho 0.000 0.826 0.500
As 0.500 0.315 0.572
As 0.500 0.685 0.072
P 0.500 0.371 0.940
P 0.500 0.629 0.440
O 0.000 0.065 0.304
O 0.000 0.935 0.804



No. 3
Simulated X-ray powder pattern of SbAsOs for CuKα, from a PBE-relaxed structure.
Intensities are scaled so that the largest is 100.

Peak list (10 most intense, 2θ = 10–90°, most intense first)
| 2theta | Rel. int. |
| --- | --- |
| 32.43 | 100 |
| 44.98 | 70 |
| 20.65 | 64 |
| 31.62 | 49 |
| 51.15 | 47 |
| 35.32 | 44 |
| 44.69 | 37 |
| 42.98 | 37 |
| 49.74 | 36 |
| 27.42 | 27 |

Crystal structure
Cell: 3.150 5.732 6.504 Å, 90.00 90.00 90.00°
Sites, in units of the cell vectors:
Sb 0.000 0.080 0.000
Sb 0.500 0.920 0.500
As 0.000 0.432 0.723
As 0.500 0.568 0.223
Os 0.000 0.272 0.368
Os 0.500 0.728 0.868



No. 4
Simulated X-ray powder pattern of Lu3PbCN for CuKα, from a PBE-relaxed structure.
Intensities are scaled so that the largest is 100.

Peak list (10 most intense, 2θ = 10–90°, most intense first)
| 2theta | Rel. int. |
| --- | --- |
| 34.28 | 100 |
| 33.71 | 27 |
| 52.78 | 27 |
| 64.10 | 27 |
| 30.04 | 19 |
| 60.66 | 18 |
| 64.46 | 16 |
| 87.94 | 15 |
| 32.37 | 15 |
| 36.62 | 14 |

Crystal structure
Cell: 3.469 3.469 21.271 Å, 90.00 90.00 120.00°
Sites, in units of the cell vectors:
Lu 0.000 0.000 0.000
Lu 0.000 0.000 0.500
Lu 0.333 0.667 0.122
Lu 0.333 0.667 0.374
Lu 0.667 0.333 0.626
Lu 0.667 0.333 0.878
Pb 0.000 0.000 0.245
Pb 0.000 0.000 0.755
C 0.333 0.667 0.571
C 0.667 0.333 0.429
N 0.333 0.667 0.934
N 0.667 0.333 0.066